Simulated PXRD pattern of Na3LiWO5 for Cu Kα, from a cell relaxed with GGA+U.
Intensities are scaled so that the largest is 1000.

Top 6 peaks for 10° ≤ 2θ ≤ 90°, low angle first:
2θ 16.84, d 5.265, I = 567, hkl 1 0 0
2θ 17.83, d 4.973, I = 579, hkl 1 0 1
2θ 18.09, d 4.904, I = 1000, hkl 0 1 1
2θ 19.52, d 4.547, I = 869, hkl 1 1 1
2θ 36.29, d 2.475, I = 565, hkl 1 0 3
2θ 40.76, d 2.214, I = 542, hkl -1 2 1

Crystal structure
```
data_Na3LiWO5
_space_group_name_H-M_alt 'P -1'
_space_group_IT_number 2
_space_group_name_Hall '-P 1'
_cell_length_a 5.713
_cell_length_b 6.086
_cell_length_c 7.769
_cell_angle_alpha 76.50
_cell_angle_beta 70.94
_cell_angle_gamma 73.71
loop_
_atom_site_label
_atom_site_fract_x
_atom_site_fract_y
_atom_site_fract_z
Na1 0.020 0.246 0.488
Na2 0.183 0.054 0.116
Na3 0.201 0.557 0.086
Li1 0.384 0.862 0.652
W1 0.397 0.341 0.702
O1 0.144 0.165 0.772
O2 0.147 0.621 0.773
O3 0.347 0.922 0.393
O4 0.350 0.446 0.430
O5 0.486 0.274 0.923
```